LiMo2P3O11: calculated PXRD pattern (Cu Ka), based on a crystal structure in Alexandria, relaxed with PBE+U.
Intensities are scaled so that the largest is 100.

Main lines, in order of rising 2θ (2θ from 10° to 80°):
| 2theta | I_rel |
| --- | --- |
| 14.24 | 73.0 |
| 18.88 | 100.0 |
| 22.49 | 22.9 |
| 24.51 | 37.0 |
| 26.79 | 32.6 |
| 28.70 | 23.0 |
| 29.28 | 79.7 |
| 32.75 | 41.9 |
| 33.37 | 22.0 |
| 37.60 | 22.0 |

Structural model:
Unit cell a=11.9114 b=8.9934 c=9.2071 alpha=90.00 beta=115.63 gamma=90.00
Space group C2 (No. 5)
Symmetry-distinct sites (fractional):
Li  0.2499  0.0000  0.1722 (multiplicity 4)
Mo  0.1196  0.5067  0.2962 (multiplicity 4)
Mo  0.1210  0.0268  0.7913 (multiplicity 4)
P  0.0000  0.2227  0.0000 (multiplicity 2)
P  0.0000  0.3102  0.5000 (multiplicity 2)
P  0.1126  0.8300  0.4665 (multiplicity 4)
P  0.1158  0.7047  0.9732 (multiplicity 4)
O  0.0000  0.7637  0.5000 (multiplicity 2)
O  0.0000  0.7677  0.0000 (multiplicity 2)
O  0.0585  0.9273  0.3155 (multiplicity 4)
O  0.0610  0.3146  0.1534 (multiplicity 4)
O  0.0663  0.2181  0.6537 (multiplicity 4)
O  0.0709  0.6068  0.8222 (multiplicity 4)
O  0.1017  0.4132  0.4905 (multiplicity 4)
O  0.1042  0.1178  0.9940 (multiplicity 4)
O  0.1852  0.6983  0.4517 (multiplicity 4)
O  0.1881  0.6094  0.1260 (multiplicity 4)
O  0.1892  0.8422  0.9697 (multiplicity 4)
O  0.1885  0.9246  0.6207 (multiplicity 4)